Na2TmWO6: calculated powder XRD pattern (Cu Kα), based on the GGA+U geometry in Alexandria.
Intensities are scaled so that the largest is 100.

Structural model:
Cell: 5.6812 5.7940 9.8997 Å, 90.00 124.97 90.00°
Atoms (fractional coordinates):
Na  0.2449  0.0275  0.2513
Na  0.2449  0.4725  0.7513
Na  0.7551  0.5275  0.2487
Na  0.7551  0.9725  0.7487
Tm  0.5000  0.0000  0.0000
Tm  0.5000  0.5000  0.5000
W  0.0000  0.0000  0.5000
W  0.0000  0.5000  0.0000
O  0.1495  0.2278  0.9571
O  0.1495  0.2722  0.4571
O  0.2349  0.6953  0.9619
O  0.2349  0.8047  0.4619
O  0.3116  0.0216  0.7331
O  0.3116  0.4784  0.2331
O  0.6884  0.5216  0.7669
O  0.6884  0.9784  0.2669
O  0.7651  0.1953  0.5381
O  0.7651  0.3047  0.0381
O  0.8505  0.7278  0.5429
O  0.8505  0.7722  0.0429

Peak list (10 most intense, 5° ≤ 2θ ≤ 70°, sorted by position)
21.91 deg, intensity 100, hkl 1 1 -1; 30.87 deg, intensity 18, hkl 0 2 0; 31.18 deg, intensity 69, hkl 1 1 -3; 31.49 deg, intensity 16, hkl 2 0 -2; 44.68 deg, intensity 30, hkl 0 0 4; 49.87 deg, intensity 8, hkl 1 3 -1; 50.30 deg, intensity 29, hkl 2 2 -4; 55.09 deg, intensity 15, hkl 1 3 -3; 55.88 deg, intensity 16, hkl 3 1 -5; 65.04 deg, intensity 11, hkl 2 2 -6